Entry 1:
Structure and calculated XRD peak list of Tb3Th5Sb8 (the PBE geometry in Alexandria; CuKα).
Lines closer than 0.1° are merged.

Structure:
```
data_Tb3Th5Sb8
_space_group_name_H-M_alt 'R -3 m'
_space_group_IT_number 166
_space_group_name_Hall '-R 3 2"'
_cell_length_a 8.9471
_cell_length_b 8.9471
_cell_length_c 21.8409
_cell_angle_alpha 90.00
_cell_angle_beta 90.00
_cell_angle_gamma 120.00
loop_
_atom_site_label
_atom_site_type_symbol
_atom_site_fract_x
_atom_site_fract_y
_atom_site_fract_z
Tb1 Tb 0.0000 0.5000 0.0000
Th1 Th 0.0000 0.0000 0.0000
Th2 Th 0.0000 0.0000 0.5000
Th3 Th 0.0000 0.5000 0.5000
Sb1 Sb 0.0000 0.0000 0.2525
Sb2 Sb 0.0037 0.5018 0.2518
```

Main lines, sorted by position (2θ = 10–80°):
(hkl)	d_spacing	two_theta	I (rel.)
0 0 6	3.648	24.4	11
0 2 4	3.160	28.2	100
2 2 0	2.234	40.4	77
4 0 4	1.826	50.0	21
0 0 12	1.820	50.1	7
0 4 8	1.580	58.4	13
2 4 4	1.414	66.1	18
2 2 12	1.412	66.2	18
6 0 0	1.291	73.3	20
0 2 16	1.287	73.6	7

***

Entry 2:
Structure and calculated XRD peak list of RbScBr (the PBE geometry in Alexandria; CuKα).
Lines closer than 0.1° are merged.

Structure:
```
data_RbScBr
_space_group_name_H-M_alt 'P 1 m 1'
_space_group_IT_number 6
_cell_length_a 3.725
_cell_length_b 5.452
_cell_length_c 10.022
_cell_angle_alpha 90.00
_cell_angle_beta 90.91
_cell_angle_gamma 90.00
loop_
_space_group_symop_operation_xyz
'x,y,z'
'x,-y,z'
loop_
_atom_site_label
_atom_site_type_symbol
_atom_site_fract_x
_atom_site_fract_y
_atom_site_fract_z
Rb1 Rb 0.000 0.000 0.000
Rb2 Rb 0.013 0.500 0.337
Sc1 Sc 0.031 0.500 0.705
Sc2 Sc 0.524 0.000 0.597
Br1 Br 0.501 0.500 0.948
Br2 Br 0.511 0.000 0.304
```

Main lines, sorted by position (2θ = 10–80°):
(hkl)	d_spacing	two_theta	I (rel.)
0 0 2	5.010	17.7	24
0 0 3	3.340	26.7	91
1 1 -1	2.951	30.3	100
1 1 1	2.929	30.5	91
0 2 0	2.726	32.9	76
1 1 -2	2.636	34.0	61
1 1 2	2.606	34.4	57
0 2 3	2.112	42.8	49
2 0 3	1.614	57.0	31
2 2 0	1.538	60.2	24

***

Entry 3:
Structure and calculated XRD peak list of Sr2LiSi4Pt3 (the PBE geometry in Alexandria; CuKα).
Lines closer than 0.1° are merged.

Structure:
```
data_Sr2LiSi4Pt3
_space_group_name_H-M_alt 'P -4 m 2'
_space_group_IT_number 115
_cell_length_a 4.316
_cell_length_b 4.316
_cell_length_c 10.009
_cell_angle_alpha 90.00
_cell_angle_beta 90.00
_cell_angle_gamma 90.00
loop_
_space_group_symop_operation_xyz
'x,y,z'
'y,-x,-z'
'-x,-y,z'
'-y,x,-z'
'-x,y,z'
'-y,-x,-z'
'x,-y,z'
'y,x,-z'
loop_
_atom_site_label
_atom_site_type_symbol
_atom_site_fract_x
_atom_site_fract_y
_atom_site_fract_z
Sr1 Sr 0.000 0.500 0.250
Li1 Li 0.000 0.000 0.500
Si1 Si 0.000 0.000 0.000
Si2 Si 0.000 0.500 0.631
Si3 Si 0.500 0.500 0.000
Pt1 Pt 0.000 0.500 0.879
Pt2 Pt 0.500 0.500 0.500
```

Main lines, sorted by position (2θ = 10–80°):
(hkl)	d_spacing	two_theta	I (rel.)
1 0 1	3.963	22.4	51
1 0 2	3.268	27.3	85
1 1 0	3.052	29.3	34
1 1 1	2.919	30.6	64
1 0 3	2.640	34.0	100
1 1 2	2.606	34.4	58
2 0 0	2.158	41.9	74
1 1 4	1.935	47.0	38
2 1 2	1.801	50.7	32
2 1 3	1.671	55.0	51

***

Entry 4:
Structure and calculated XRD peak list of V6OsRu5 (the PBE geometry in Alexandria; CuKα).
Lines closer than 0.1° are merged.

Structure:
```
data_V6OsRu5
_space_group_name_H-M_alt 'P 1 2/m 1'
_space_group_IT_number 10
_cell_length_a 4.271
_cell_length_b 6.009
_cell_length_c 6.756
_cell_angle_alpha 90.00
_cell_angle_beta 108.36
_cell_angle_gamma 90.00
loop_
_space_group_symop_operation_xyz
'x,y,z'
'-x,-y,-z'
'-x,y,-z'
'x,-y,z'
loop_
_atom_site_label
_atom_site_type_symbol
_atom_site_fract_x
_atom_site_fract_y
_atom_site_fract_z
V1 V 0.000 0.248 0.000
V2 V 0.337 0.250 0.672
Os1 Os 0.500 0.000 0.000
Ru1 Ru 0.168 0.500 0.338
Ru2 Ru 0.170 0.000 0.341
Ru3 Ru 0.500 0.500 0.000
```

Main lines, sorted by position (2θ = 10–80°):
(hkl)	d_spacing	two_theta	I (rel.)
1 0 1	3.021	29.6	21
0 2 0	3.004	29.7	11
2 0 -1	2.136	42.3	50
1 2 1	2.130	42.4	100
2 2 -1	1.741	52.6	9
2 0 2	1.511	61.4	16
0 4 0	1.502	61.8	8
3 2 0	1.233	77.4	24
3 2 -3	1.232	77.5	8
2 4 -1	1.229	77.7	16

***

Repeat the second record exactly.
Structure and calculated XRD peak list of RbScBr (the PBE geometry in Alexandria; CuKα).
Lines closer than 0.1° are merged.

Structure:
```
data_RbScBr
_space_group_name_H-M_alt 'P 1 m 1'
_space_group_IT_number 6
_cell_length_a 3.725
_cell_length_b 5.452
_cell_length_c 10.022
_cell_angle_alpha 90.00
_cell_angle_beta 90.91
_cell_angle_gamma 90.00
loop_
_space_group_symop_operation_xyz
'x,y,z'
'x,-y,z'
loop_
_atom_site_label
_atom_site_type_symbol
_atom_site_fract_x
_atom_site_fract_y
_atom_site_fract_z
Rb1 Rb 0.000 0.000 0.000
Rb2 Rb 0.013 0.500 0.337
Sc1 Sc 0.031 0.500 0.705
Sc2 Sc 0.524 0.000 0.597
Br1 Br 0.501 0.500 0.948
Br2 Br 0.511 0.000 0.304
```

Main lines, sorted by position (2θ = 10–80°):
(hkl)	d_spacing	two_theta	I (rel.)
0 0 2	5.010	17.7	24
0 0 3	3.340	26.7	91
1 1 -1	2.951	30.3	100
1 1 1	2.929	30.5	91
0 2 0	2.726	32.9	76
1 1 -2	2.636	34.0	61
1 1 2	2.606	34.4	57
0 2 3	2.112	42.8	49
2 0 3	1.614	57.0	31
2 2 0	1.538	60.2	24